Simulated PXRD pattern of Mg11Cu2O13 for CuKα, from a GGA-PBE-relaxed structure.
Peak positions follow from Bragg's law for the DFT cell and can differ from measured ones.

Atomic structure:
a b c (Å): 3.0272 4.2542 38.9391
angles (deg): 90.00 90.00 90.00
Space group Immm (No. 71)
One atom of each set of equivalent atoms:
Mg 0.0000 0.0000 0.0000 (multiplicity 2)
Mg 0.0000 0.0000 0.0769 (multiplicity 4)
Mg 0.0000 0.0000 0.2308 (multiplicity 4)
Mg 0.0000 0.0000 0.3080 (multiplicity 4)
Mg 0.0000 0.0000 0.3843 (multiplicity 4)
Mg 0.0000 0.0000 0.4615 (multiplicity 4)
Cu 0.0000 0.0000 0.1538 (multiplicity 4)
O 0.0000 0.5000 0.0000 (multiplicity 2)
O 0.0000 0.5000 0.0770 (multiplicity 4)
O 0.0000 0.5000 0.1539 (multiplicity 4)
O 0.0000 0.5000 0.2306 (multiplicity 4)
O 0.0000 0.5000 0.3063 (multiplicity 4)
O 0.0000 0.5000 0.3860 (multiplicity 4)
O 0.0000 0.5000 0.4616 (multiplicity 4)

Peak list (10 most intense, 15 to 90 degrees two-theta, low angle first)
| index | 2θ (°) | Rel. int. |
| --- | --- | --- |
| 0 1 3 | 21.99 | 7 |
| 1 1 0 | 36.43 | 11 |
| 0 1 13 | 36.70 | 12 |
| 1 0 13 | 42.47 | 100 |
| 2 0 0 | 61.24 | 10 |
| 1 2 13 | 61.63 | 38 |
| 0 0 26 | 61.96 | 9 |
| 2 1 13 | 73.56 | 4 |
| 2 2 0 | 77.38 | 9 |
| 0 2 26 | 78.03 | 9 |

---

Simulated PXRD pattern of MgSb4O10 for CuKα, from a GGA-PBE-relaxed structure.
Peak positions follow from Bragg's law for the DFT cell and can differ from measured ones.

Atomic structure:
a b c (Å): 10.7002 4.0176 10.3704
angles (deg): 90.00 90.00 90.00
Space group Amm2 (No. 38)
One atom of each set of equivalent atoms:
Mg 0.0000 0.0000 0.0000 (multiplicity 2)
Sb 0.1780 0.0000 0.6760 (multiplicity 4)
Sb 0.3191 0.0000 0.9422 (multiplicity 4)
O 0.0000 0.0000 0.5886 (multiplicity 2)
O 0.1305 0.0000 0.8602 (multiplicity 4)
O 0.1623 0.0000 0.1320 (multiplicity 4)
O 0.2661 0.0000 0.4988 (multiplicity 4)
O 0.3470 0.0000 0.7520 (multiplicity 4)
O 0.5000 0.0000 0.9899 (multiplicity 2)

Peak list (10 most intense, 15 to 90 degrees two-theta, low angle first)
| index | 2θ (°) | Rel. int. |
| --- | --- | --- |
| 2 0 0 | 16.57 | 77 |
| 1 0 2 | 19.02 | 46 |
| 0 1 1 | 23.75 | 100 |
| 2 1 1 | 29.10 | 27 |
| 3 0 2 | 30.42 | 77 |
| 0 1 3 | 34.22 | 30 |
| 0 0 4 | 34.60 | 27 |
| 3 1 1 | 34.73 | 40 |
| 0 2 0 | 45.14 | 26 |
| 3 2 2 | 55.41 | 36 |

---

Simulated PXRD pattern of SbH3NF6 for CuKα, from a GGA-PBE-relaxed structure.
Peak positions follow from Bragg's law for the DFT cell and can differ from measured ones.

Atomic structure:
a b c (Å): 7.5479 12.4161 10.9075
angles (deg): 90.00 92.89 90.00
Space group C2/c (No. 15)
One atom of each set of equivalent atoms:
Sb 0.0000 0.0000 0.0000 (multiplicity 4)
Sb 0.0000 0.3466 0.2500 (multiplicity 4)
H 0.0186 0.2558 0.6523 (multiplicity 8)
H 0.0974 0.3741 0.8607 (multiplicity 8)
H 0.1273 0.3765 0.6659 (multiplicity 8)
N 0.0113 0.3355 0.6839 (multiplicity 8)
F 0.0206 0.1179 0.6158 (multiplicity 8)
F 0.0717 0.3420 0.4215 (multiplicity 8)
F 0.1150 0.0884 0.3854 (multiplicity 8)
F 0.1624 0.4607 0.2174 (multiplicity 8)
F 0.1821 0.2442 0.2179 (multiplicity 8)
F 0.2269 0.0574 0.0573 (multiplicity 8)

Peak list (10 most intense, 15 to 90 degrees two-theta, low angle first)
| index | 2θ (°) | Rel. int. |
| --- | --- | --- |
| 1 1 -1 | 15.67 | 42 |
| 1 1 1 | 16.28 | 34 |
| 0 2 1 | 16.43 | 42 |
| 1 1 -2 | 20.90 | 100 |
| 0 2 2 | 21.71 | 72 |
| 1 1 2 | 21.82 | 90 |
| 2 0 0 | 23.60 | 52 |
| 1 3 0 | 24.54 | 98 |
| 2 4 -2 | 40.65 | 29 |
| 1 3 -4 | 40.95 | 34 |

---

Simulated PXRD pattern of PrNbO4 for CuKα, from a GGA-PBE-relaxed structure.
Peak positions follow from Bragg's law for the DFT cell and can differ from measured ones.

Atomic structure:
a b c (Å): 7.5362 11.6223 5.3399
angles (deg): 90.00 133.40 90.00
Space group C2/c (No. 15)
One atom of each set of equivalent atoms:
Pr 0.0000 0.1265 0.2500 (multiplicity 4)
Nb 0.0000 0.3836 0.7500 (multiplicity 4)
O 0.1557 0.2913 0.6589 (multiplicity 8)
O 0.2475 0.4639 0.1721 (multiplicity 8)

Peak list (10 most intense, 15 to 90 degrees two-theta, low angle first)
| index | 2θ (°) | Rel. int. |
| --- | --- | --- |
| 0 2 1 | 27.65 | 100 |
| 2 2 -1 | 28.23 | 95 |
| 0 4 0 | 30.77 | 26 |
| 2 0 0 | 32.71 | 21 |
| 2 0 -2 | 33.58 | 18 |
| 2 4 0 | 45.52 | 30 |
| 2 4 -2 | 46.19 | 29 |
| 0 6 1 | 52.83 | 16 |
| 2 2 1 | 55.01 | 16 |
| 4 2 -3 | 57.12 | 25 |